# 1
Theoretical powder diffractogram
Compound: Tl8SnTe6
Radiation: CuKα
Structure: DFT lattice parameters and positions (GGA-PBE)

Atomic structure:
```
Tl8SnTe6
1.0
9.246 0.000 0.000
0.000 10.401 0.000
0.000 0.000 12.091
Tl Sn Te
16 2 12
direct
0.000 0.146 0.000
0.000 0.269 0.376
0.212 0.544 0.781
0.212 0.682 0.049
0.248 0.076 0.229
0.252 0.924 0.729
0.288 0.318 0.549
0.288 0.456 0.281
0.500 0.731 0.876
0.500 0.854 0.500
0.712 0.318 0.549
0.712 0.456 0.281
0.748 0.924 0.729
0.752 0.076 0.229
0.788 0.544 0.781
0.788 0.682 0.049
0.000 0.777 0.435
0.500 0.223 0.935
0.000 0.009 0.555
0.000 0.453 0.119
0.000 0.548 0.560
0.000 0.842 0.891
0.247 0.222 0.807
0.253 0.778 0.307
0.500 0.158 0.391
0.500 0.452 0.060
0.500 0.547 0.619
0.500 0.991 0.055
0.747 0.778 0.307
0.753 0.222 0.807
```

Peak list (10 most intense, 10° ≤ 2θ ≤ 80°, sorted by position)
2theta, I_rel
22.55, 51
24.24, 100
26.77, 75
29.68, 39
29.78, 63
30.66, 84
33.14, 56
35.48, 36
35.64, 58
38.96, 57

---

# 2
Theoretical powder diffractogram
Compound: Li3Zn3Pt2
Radiation: CuKα
Structure: DFT lattice parameters and positions (GGA-PBE)

Atomic structure:
```
Li3Zn3Pt2
1.0
7.376 0.000 0.000
-3.688 6.388 0.000
0.000 0.000 5.469
Li Zn Pt
6 6 4
direct
0.000 0.252 0.250
0.000 0.748 0.750
0.252 0.000 0.250
0.252 0.252 0.750
0.748 0.000 0.750
0.748 0.748 0.250
0.000 0.407 0.750
0.000 0.593 0.250
0.407 0.000 0.750
0.407 0.407 0.250
0.593 0.000 0.250
0.593 0.593 0.750
0.333 0.667 0.000
0.333 0.667 0.500
0.667 0.333 0.000
0.667 0.333 0.500
```

Peak list (10 most intense, 10° ≤ 2θ ≤ 80°, sorted by position)
2theta, I_rel
13.86, 100
24.13, 42
29.20, 12
37.24, 16
41.09, 59
42.45, 28
43.57, 21
49.42, 11
60.56, 12
76.74, 15

---

# 3
Theoretical powder diffractogram
Compound: FeNi3H3
Radiation: CuKα
Structure: DFT lattice parameters and positions (GGA-PBE)

Atomic structure:
```
FeNi3H3
1.0
2.217 1.280 6.295
-2.217 1.280 6.295
0.000 -2.559 6.295
Fe Ni H
2 6 6
direct
0.167 0.167 0.167
0.833 0.833 0.833
0.056 0.720 0.388
0.280 0.612 0.944
0.388 0.056 0.720
0.612 0.944 0.280
0.720 0.388 0.056
0.944 0.280 0.612
0.107 0.439 0.772
0.228 0.893 0.561
0.439 0.772 0.107
0.561 0.228 0.893
0.772 0.107 0.439
0.893 0.561 0.228
```

Peak list (10 most intense, 10° ≤ 2θ ≤ 80°, sorted by position)
2theta, I_rel
14.07, 13
23.65, 7
25.04, 6
30.00, 4
33.28, 3
43.11, 33
43.28, 100
50.35, 66
73.85, 19
74.09, 19

---

# 4
Theoretical powder diffractogram
Compound: Tl3Cu2BiCl9
Radiation: CuKα
Structure: DFT lattice parameters and positions (GGA-PBE)

Atomic structure:
```
Tl3Cu2BiCl9
1.0
7.181 0.000 0.000
-3.590 6.219 0.000
0.000 0.000 9.013
Tl Cu Bi Cl
3 2 1 9
direct
0.000 0.000 0.000
0.333 0.667 0.718
0.667 0.333 0.282
0.333 0.667 0.148
0.667 0.333 0.852
0.000 0.000 0.500
0.000 0.500 0.000
0.173 0.346 0.317
0.173 0.827 0.317
0.346 0.173 0.683
0.500 0.000 0.000
0.500 0.500 0.000
0.654 0.827 0.317
0.827 0.173 0.683
0.827 0.654 0.683
```

Peak list (10 most intense, 10° ≤ 2θ ≤ 80°, sorted by position)
2theta, I_rel
17.32, 21
24.39, 100
24.80, 97
30.41, 32
35.06, 89
43.42, 44
43.67, 22
49.99, 18
50.87, 31
57.19, 24